No. 1
# Mn3Co3Cu2O16
Simulated PXRD pattern, Cu Kα. Input: a crystal structure in the Materials Project, relaxed with PBE+U.
Lines closer than 0.1° are merged.

The 10 most intense peaks (2θ from 10° to 90°), sorted by position:
| two_theta | Rel. int. |
| --- | --- |
| 20.02 | 100 |
| 20.28 | 38 |
| 20.45 | 70 |
| 20.85 | 60 |
| 36.96 | 35 |
| 37.60 | 47 |
| 38.21 | 30 |
| 47.55 | 32 |
| 65.69 | 32 |
| 65.91 | 42 |

Crystal structure
```
Mn3Co3Cu2O16
1.0
5.672 0.000 0.000
2.827 4.920 0.000
0.344 0.214 8.870
Mn Co Cu O
3 3 2 16
Cartesian
0.000 0.000 0.000 Mn
2.978 3.353 4.420 Mn
4.383 0.927 4.420 Mn
5.986 5.125 8.811 Co
5.810 3.374 4.368 Co
7.410 2.663 8.811 Co
1.485 0.865 2.420 Cu
4.480 2.606 6.877 Cu
3.100 3.463 7.895 O
1.737 1.021 7.872 O
2.640 1.530 1.057 O
4.283 4.282 1.074 O
3.121 1.816 5.520 O
4.444 3.987 5.541 O
4.385 2.548 3.426 O
5.799 4.954 3.472 O
4.533 0.986 7.896 O
6.041 3.512 7.929 O
5.662 1.884 5.540 O
7.219 4.189 5.359 O
7.052 4.083 0.914 O
5.846 1.581 1.077 O
7.174 2.577 3.474 O
8.601 4.987 3.423 O
```


No. 2
# MgFe6O10F2
Simulated PXRD pattern, Cu Kα. Input: a crystal structure in the Materials Project, relaxed with PBE+U.
Lines closer than 0.1° are merged.

The 10 most intense peaks (2θ from 10° to 90°), sorted by position:
| two_theta | Rel. int. |
| --- | --- |
| 21.91 | 89 |
| 26.93 | 18 |
| 28.18 | 100 |
| 29.94 | 17 |
| 35.36 | 64 |
| 37.56 | 25 |
| 41.56 | 28 |
| 47.76 | 17 |
| 54.67 | 40 |
| 58.28 | 15 |

Crystal structure
```
MgFe6O10F2
1.0
4.057 -3.166 0.000
4.057 3.166 0.000
-0.030 0.000 8.843
Mg Fe O F
1 6 10 2
Cartesian
0.000 0.000 0.000 Mg
2.431 0.000 2.919 Fe
2.477 0.000 5.826 Fe
2.808 0.000 0.056 Fe
5.803 0.000 7.181 Fe
5.865 0.000 1.632 Fe
7.229 0.000 4.416 Fe
2.497 1.950 5.863 O
2.567 1.959 2.962 O
1.089 0.000 4.410 O
1.348 0.000 1.334 O
3.886 0.000 7.318 O
3.997 0.000 1.551 O
6.487 1.180 8.785 O
2.497 -1.950 5.863 O
2.567 -1.959 2.962 O
6.487 -1.180 8.785 O
1.102 0.000 7.329 F
3.829 0.000 4.407 F
```


No. 3
# Cr3CoP6O24
Simulated PXRD pattern, Cu Kα. Input: a crystal structure in the Materials Project, relaxed with PBE+U.
Lines closer than 0.1° are merged.

The 10 most intense peaks (2θ from 10° to 90°), sorted by position:
| two_theta | Rel. int. |
| --- | --- |
| 14.54 | 43 |
| 20.36 | 60 |
| 20.87 | 29 |
| 24.28 | 100 |
| 29.32 | 50 |
| 32.39 | 16 |
| 32.54 | 32 |
| 36.56 | 13 |
| 46.80 | 12 |
| 53.62 | 13 |

Crystal structure
```
Cr3CoP6O24
1.0
4.257 2.458 7.215
-4.257 2.458 7.215
0.000 -4.915 7.215
Cr Co P O
3 1 6 24
Cartesian
0.000 0.000 0.000 Cr
0.000 0.000 4.663 Cr
0.000 0.000 10.814 Cr
0.000 0.000 15.454 Co
-1.245 -2.821 9.532 P
-2.385 0.009 13.182 P
-1.821 2.489 9.532 P
1.184 -2.070 13.182 P
3.066 0.333 9.532 P
1.200 2.061 13.182 P
-0.622 -3.439 8.275 O
-1.540 -0.186 5.826 O
-0.971 -3.637 10.805 O
-3.272 -1.243 13.306 O
-2.667 2.258 8.275 O
-0.631 -1.414 9.654 O
0.931 -1.240 5.826 O
-1.561 -0.206 11.908 O
-2.664 2.660 10.805 O
-0.909 1.254 9.654 O
0.609 1.426 5.826 O
-1.562 0.294 14.454 O
0.958 -1.249 11.908 O
-0.952 -1.152 16.657 O
0.527 -1.500 14.454 O
1.540 0.161 9.654 O
0.602 1.454 11.908 O
2.713 -2.212 13.306 O
-0.522 1.401 16.657 O
3.289 1.181 8.275 O
1.036 1.206 14.454 O
0.559 3.455 13.306 O
1.474 -0.248 16.657 O
3.635 0.977 10.805 O
```


No. 4
# Sr4Mn2Cu3S4O4
Simulated PXRD pattern, Cu Kα. Input: a crystal structure in the Materials Project, relaxed with PBE+U.
Lines closer than 0.1° are merged.

The 10 most intense peaks (2θ from 10° to 90°), sorted by position:
| two_theta | Rel. int. |
| --- | --- |
| 31.20 | 14 |
| 31.25 | 11 |
| 32.96 | 30 |
| 34.16 | 100 |
| 37.72 | 62 |
| 44.75 | 57 |
| 57.48 | 42 |
| 62.93 | 19 |
| 65.15 | 17 |
| 77.80 | 13 |

Crystal structure
```
Sr4Mn2Cu3S4O4
1.0
-2.863 5.730 8.618
2.863 -5.730 8.618
2.863 5.730 -8.618
Sr Mn Cu S O
8 4 6 8 8
Cartesian
1.396 1.420 -1.730 Sr
1.396 1.420 1.730 Sr
1.396 -1.420 6.889 Sr
1.396 -1.420 10.348 Sr
1.467 7.150 -1.730 Sr
1.467 7.150 1.730 Sr
1.467 4.309 6.889 Sr
1.467 4.309 10.348 Sr
4.268 1.442 0.000 Mn
1.405 4.288 0.000 Mn
1.457 1.442 8.618 Mn
-1.405 4.288 8.618 Mn
2.863 2.917 -4.309 Cu
2.863 0.000 4.309 Cu
0.000 2.812 4.309 Cu
2.863 2.917 4.309 Cu
0.000 5.730 4.309 Cu
0.000 2.812 12.928 Cu
1.480 -1.459 2.968 S
1.383 4.271 -2.968 S
4.245 1.459 2.968 S
1.480 1.459 5.651 S
1.383 4.271 2.968 S
-1.383 4.271 5.651 S
1.480 1.459 11.586 S
1.383 7.189 5.651 S
0.000 0.000 0.000 O
2.863 0.000 0.000 O
2.824 2.862 0.000 O
2.824 -2.862 8.618 O
0.000 5.730 0.000 O
0.000 0.000 8.618 O
0.039 8.591 0.000 O
0.039 2.868 8.618 O
```